No. 1
Starting from a DFT-relaxed cell (PBE, the Materials Project), the X-ray diffraction stick pattern of MgSi2 was calculated for λ = 1.5418 Å (Cu Kα).

Structure:
```
data_MgSi2
_chemical_formula_sum 'Mg8 Si16'
_symmetry_space_group_name_H-M 'C 1 2/m 1'
_symmetry_Int_Tables_number 12
_symmetry_space_group_name_Hall '-C 2y'
_cell_length_a 11.287
_cell_length_b 3.709
_cell_length_c 10.374
_cell_angle_alpha 90.00
_cell_angle_beta 90.07
_cell_angle_gamma 90.00
loop_
_atom_site_label
_atom_site_type_symbol
_atom_site_fract_x
_atom_site_fract_y
_atom_site_fract_z
_atom_site_occupancy
Mg1 Mg 0.000 0.000 0.000 1
Mg2 Mg 0.000 0.500 0.500 1
Mg3 Mg 0.163 0.000 0.716 1
Si1 Si 0.006 0.500 0.214 1
Si2 Si 0.141 0.000 0.234 1
Si3 Si 0.191 0.000 0.457 1
Si4 Si 0.211 0.500 0.939 1
```

The 10 most intense peaks (10 to 90 degrees two-theta), most intense first:
2.354 Å, I = 100.0
2.560 Å, I = 85.1
2.641 Å, I = 82.4
1.853 Å, I = 78.7
2.098 Å, I = 56.6
2.469 Å, I = 55.9
2.593 Å, I = 54.3
2.480 Å, I = 30.8
1.788 Å, I = 23.8
1.881 Å, I = 23.4

***

No. 2
Starting from a DFT-relaxed cell (PBE, the Materials Project), the X-ray diffraction stick pattern of MgSc2Ag2O6 was calculated for λ = 1.5418 Å (Cu Kα).

Structure:
```
data_MgSc2Ag2O6
_chemical_formula_sum 'Mg2 Sc4 Ag4 O12'
_symmetry_space_group_name_H-M 'A m m 2'
_symmetry_Int_Tables_number 38
_symmetry_space_group_name_Hall 'A 2 -2'
_cell_length_a 3.216
_cell_length_b 10.706
_cell_length_c 8.064
_cell_angle_alpha 90.00
_cell_angle_beta 90.00
_cell_angle_gamma 90.00
loop_
_atom_site_label
_atom_site_type_symbol
_atom_site_fract_x
_atom_site_fract_y
_atom_site_fract_z
_atom_site_occupancy
Mg1 Mg 0.000 0.000 0.000 1
Sc1 Sc 0.000 0.232 0.591 1
Ag1 Ag 0.500 0.000 0.318 1
Ag2 Ag 0.500 0.000 0.735 1
O1 O 0.000 0.149 0.828 1
O2 O 0.500 0.124 0.117 1
O3 O 0.500 0.138 0.498 1
```

The 10 most intense peaks (10 to 90 degrees two-theta), most intense first:
3.220 Å, I = 100.0
2.757 Å, I = 84.7
1.833 Å, I = 66.5
5.353 Å, I = 53.1
2.276 Å, I = 38.8
2.514 Å, I = 33.7
2.147 Å, I = 28.6
2.677 Å, I = 25.9
1.429 Å, I = 19.8
2.877 Å, I = 19.5

***

No. 3
Starting from a DFT-relaxed cell (PBE, the Materials Project), the X-ray diffraction stick pattern of CsAgBr3 was calculated for λ = 1.5418 Å (Cu Kα).

Structure:
```
data_CsAgBr3
_chemical_formula_sum 'Cs1 Ag1 Br3'
_symmetry_space_group_name_H-M 'P 1'
_symmetry_Int_Tables_number 1
_symmetry_space_group_name_Hall 'P 1'
_cell_length_a 5.494
_cell_length_b 5.495
_cell_length_c 5.498
_cell_angle_alpha 89.95
_cell_angle_beta 89.97
_cell_angle_gamma 89.95
loop_
_atom_site_label
_atom_site_type_symbol
_atom_site_fract_x
_atom_site_fract_y
_atom_site_fract_z
_atom_site_occupancy
Cs1 Cs 0.000 0.000 0.000 1
Ag1 Ag 0.494 0.491 0.499 1
Br1 Br 0.493 0.493 0.999 1
Br2 Br 0.502 0.991 0.502 1
Br3 Br 0.994 0.495 0.498 1
```

The 10 most intense peaks (10 to 90 degrees two-theta), most intense first:
2.748 Å, I = 100.0
1.943 Å, I = 70.9
3.173 Å, I = 57.4
3.886 Å, I = 52.9
1.229 Å, I = 26.0
1.657 Å, I = 25.0
1.586 Å, I = 24.3
2.244 Å, I = 23.9
1.122 Å, I = 12.0
1.121 Å, I = 12.0

***

No. 4
Starting from a DFT-relaxed cell (PBE, the Materials Project), the X-ray diffraction stick pattern of TaMoC2 was calculated for λ = 1.5418 Å (Cu Kα).

Structure:
```
data_TaMoC2
_chemical_formula_sum 'Ta3 Mo3 C6'
_symmetry_space_group_name_H-M 'R -3 m'
_symmetry_Int_Tables_number 166
_symmetry_space_group_name_Hall '-R 3 2"'
_cell_length_a 3.1448
_cell_length_b 3.1448
_cell_length_c 15.2191
_cell_angle_alpha 90.00
_cell_angle_beta 90.00
_cell_angle_gamma 120.00
loop_
_atom_site_label
_atom_site_type_symbol
_atom_site_fract_x
_atom_site_fract_y
_atom_site_fract_z
_atom_site_occupancy
Ta1 Ta 0.0000 0.0000 0.0000 1
Mo1 Mo 0.0000 0.0000 0.5000 1
C1 C 0.0000 0.0000 0.2504 1
```

The 10 most intense peaks (10 to 90 degrees two-theta), most intense first:
2.564 Å, I = 100.0
2.215 Å, I = 88.4
2.537 Å, I = 32.4
1.572 Å, I = 29.3
1.560 Å, I = 28.5
1.336 Å, I = 27.1
5.073 Å, I = 17.1
1.282 Å, I = 14.8
1.340 Å, I = 13.7
1.329 Å, I = 13.3

***

No. 5
Starting from a DFT-relaxed cell (PBE, the Materials Project), the X-ray diffraction stick pattern of PbC8N6 was calculated for λ = 1.5418 Å (Cu Kα).

Structure:
```
data_PbC8N6
_chemical_formula_sum 'Pb2 C16 N12'
_symmetry_space_group_name_H-M 'P m n a'
_symmetry_Int_Tables_number 53
_symmetry_space_group_name_Hall '-P 2ac 2'
_cell_length_a 8.486
_cell_length_b 5.817
_cell_length_c 11.528
_cell_angle_alpha 90.00
_cell_angle_beta 90.00
_cell_angle_gamma 90.00
loop_
_atom_site_label
_atom_site_type_symbol
_atom_site_fract_x
_atom_site_fract_y
_atom_site_fract_z
_atom_site_occupancy
Pb1 Pb 0.000 0.000 0.000 1
C1 C 0.000 0.406 0.261 1
C2 C 0.000 0.410 0.661 1
C3 C 0.142 0.317 0.621 1
N1 N 0.000 0.251 0.196 1
N2 N 0.239 0.239 0.913 1
```

The 10 most intense peaks (10 to 90 degrees two-theta), most intense first:
4.430 Å, I = 100.0
6.834 Å, I = 79.7
4.094 Å, I = 44.7
2.946 Å, I = 37.8
3.501 Å, I = 28.4
5.764 Å, I = 26.2
2.999 Å, I = 22.6
2.676 Å, I = 22.1
3.424 Å, I = 21.4
4.243 Å, I = 20.0